# 1
Simulated powder XRD pattern
Compound: PrNd3Sb
Radiation: Cu Ka
Structure: a PBE-relaxed structure

Crystal structure
Cell lengths 11.125, 4.086, 14.893 Å; angles 90.00, 90.00, 90.00 degrees
Fractional coordinates of all 20 atoms:
Pr 0.166 0.250 0.003
Pr 0.334 0.750 0.503
Pr 0.666 0.250 0.497
Pr 0.834 0.750 0.997
Nd 0.057 0.250 0.416
Nd 0.064 0.750 0.206
Nd 0.191 0.750 0.790
Nd 0.309 0.250 0.290
Nd 0.436 0.250 0.706
Nd 0.443 0.750 0.916
Nd 0.557 0.250 0.084
Nd 0.564 0.750 0.294
Nd 0.691 0.750 0.710
Nd 0.809 0.250 0.210
Nd 0.936 0.250 0.794
Nd 0.943 0.750 0.584
Sb 0.163 0.250 0.623
Sb 0.337 0.750 0.123
Sb 0.663 0.250 0.877
Sb 0.837 0.750 0.377

Most intense lines, 5° ≤ 2θ ≤ 70°, by angle:
d 3.035, 2θ = 29.4°, rel. 906; d 3.012, 2θ = 29.7°, rel. 1000; d 2.877, 2θ = 31.1°, rel. 637; d 2.744, 2θ = 32.6°, rel. 547; d 2.734, 2θ = 32.8°, rel. 554; d 2.627, 2θ = 34.1°, rel. 271; d 2.576, 2θ = 34.8°, rel. 410; d 2.043, 2θ = 44.3°, rel. 335; d 1.666, 2θ = 55.1°, rel. 254; d 1.636, 2θ = 56.2°, rel. 250


# 2
Simulated powder XRD pattern
Compound: InNi2HPd
Radiation: Cu Ka
Structure: a PBE-relaxed structure

Crystal structure
Cell lengths 3.875, 3.875, 3.931 Å; angles 90.00, 90.00, 90.00 degrees
Fractional coordinates of all 5 atoms:
In 0.000 0.000 0.000
Ni 0.000 0.500 0.500
Ni 0.500 0.000 0.500
H 0.500 0.500 0.500
Pd 0.500 0.500 0.000

Most intense lines, 5° ≤ 2θ ≤ 70°, by angle:
d 3.931, 2θ = 22.6°, rel. 76; d 2.740, 2θ = 32.7°, rel. 65; d 2.248, 2θ = 40.1°, rel. 1000; d 1.965, 2θ = 46.2°, rel. 167; d 1.937, 2θ = 46.9°, rel. 319; d 1.738, 2θ = 52.7°, rel. 33; d 1.597, 2θ = 57.7°, rel. 26; d 1.380, 2θ = 67.9°, rel. 199; d 1.370, 2θ = 68.5°, rel. 97


# 3
Simulated powder XRD pattern
Compound: U3Ga2Ge3
Radiation: Cu Ka
Structure: a PBE-relaxed structure

Crystal structure
Cell lengths 7.661, 7.515, 7.796 Å; angles 60.02, 58.17, 61.81 degrees
Fractional coordinates of all 16 atoms:
U 0.047 0.737 0.953
U 0.145 0.855 0.145
U 0.226 0.527 0.473
U 0.527 0.226 0.774
U 0.737 0.047 0.263
U 0.855 0.145 0.855
Ga 0.220 0.220 0.280
Ga 0.445 0.717 0.555
Ga 0.717 0.445 0.283
Ga 0.720 0.720 0.780
Ge 0.041 0.339 0.959
Ge 0.339 0.041 0.661
Ge 0.471 0.471 0.029
Ge 0.535 0.853 0.147
Ge 0.853 0.535 0.465
Ge 0.971 0.971 0.529

Most intense lines, 5° ≤ 2θ ≤ 70°, by angle:
d 6.242, 2θ = 14.2°, rel. 190; d 5.411, 2θ = 16.4°, rel. 224; d 5.215, 2θ = 17.0°, rel. 368; d 3.262, 2θ = 27.3°, rel. 152; d 2.491, 2θ = 36.1°, rel. 480; d 2.479, 2θ = 36.2°, rel. 804; d 2.441, 2θ = 36.8°, rel. 1000; d 1.948, 2θ = 46.6°, rel. 163; d 1.649, 2θ = 55.7°, rel. 132; d 1.350, 2θ = 69.6°, rel. 174


# 4
Simulated powder XRD pattern
Compound: Cd9Sn2Hg
Radiation: Cu Ka
Structure: a PBE-relaxed structure

Crystal structure
Cell lengths 10.132, 10.132, 3.364 Å; angles 90.00, 90.00, 120.00 degrees
Fractional coordinates of all 12 atoms:
Cd 0.000 0.500 0.000
Cd 0.170 0.340 0.500
Cd 0.170 0.830 0.500
Cd 0.340 0.170 0.500
Cd 0.500 0.000 0.000
Cd 0.500 0.500 0.000
Cd 0.660 0.830 0.500
Cd 0.830 0.170 0.500
Cd 0.830 0.660 0.500
Sn 0.333 0.667 0.000
Sn 0.667 0.333 0.000
Hg 0.000 0.000 0.000

Most intense lines, 5° ≤ 2θ ≤ 70°, by angle:
d 2.802, 2θ = 31.9°, rel. 377; d 2.669, 2θ = 33.6°, rel. 628; d 2.533, 2θ = 35.4°, rel. 1000; d 2.207, 2θ = 40.9°, rel. 195; d 1.837, 2θ = 49.6°, rel. 201; d 1.682, 2θ = 54.6°, rel. 94; d 1.664, 2θ = 55.2°, rel. 161; d 1.487, 2θ = 62.4°, rel. 195; d 1.462, 2θ = 63.6°, rel. 174; d 1.401, 2θ = 66.8°, rel. 304